Diffraction record for DySi2MoOs. The XRD peak list is calculated, not measured: it uses a cell relaxed with GGA-PBE and Cu Kα X-rays.
Neutral-atom scattering factors, no anomalous dispersion.

Cell lengths 5.9256, 5.9256, 5.9256 Å; angles 139.58, 139.58, 58.49 degrees
Atoms (fractional coordinates):
Dy 0.0000 0.0000 0.0000
Si 0.3825 0.3825 0.0000
Si 0.6175 0.6175 0.0000
Mo 0.2500 0.7500 0.5000
Os 0.7500 0.2500 0.5000

Principal peaks in the range 10 to 90 degrees two-theta, by angle:
d/Å, 2θ/deg, I/Imax
5.170, 17.15, 106
3.807, 23.37, 299
2.637, 34.00, 254
2.585, 34.70, 198
2.526, 35.54, 1000
2.047, 44.25, 335
1.846, 49.37, 100
1.617, 56.95, 117
1.605, 57.42, 188
1.481, 62.74, 174
1.448, 64.36, 110
1.256, 75.73, 223


Diffraction record for DyV4Mo. The XRD peak list is calculated, not measured: it uses a cell relaxed with GGA-PBE and Cu Kα X-rays.
Neutral-atom scattering factors, no anomalous dispersion.

Cell lengths 5.1465, 5.1465, 5.1465 Å; angles 60.00, 60.00, 60.00 degrees
Atoms (fractional coordinates):
Dy 0.0000 0.0000 0.0000
V 0.3748 0.3748 0.3748
V 0.3748 0.3748 0.8757
V 0.3748 0.8757 0.3748
V 0.8757 0.3748 0.3748
Mo 0.7500 0.7500 0.7500

Principal peaks in the range 10 to 90 degrees two-theta, by angle:
d/Å, 2θ/deg, I/Imax
4.202, 21.14, 186
3.639, 24.46, 44
2.573, 34.87, 650
2.194, 41.13, 1000
2.101, 43.05, 154
1.670, 54.99, 51
1.486, 62.52, 235
1.401, 66.79, 300
1.287, 73.62, 212
1.151, 84.12, 105
1.110, 87.99, 108
1.097, 89.27, 49


Diffraction record for NaDyTa4N8. The XRD peak list is calculated, not measured: it uses a cell relaxed with GGA-PBE and Cu Kα X-rays.
Neutral-atom scattering factors, no anomalous dispersion.

Cell lengths 6.4714, 6.4714, 6.4714 Å; angles 58.53, 58.53, 58.53 degrees
Atoms (fractional coordinates):
Na 0.0000 0.0000 0.0000
Dy 0.3813 0.3813 0.3813
Ta 0.0063 0.0063 0.4891
Ta 0.0063 0.4891 0.0063
Ta 0.4891 0.0063 0.0063
Ta 0.6260 0.6260 0.6260
N 0.2400 0.2400 0.2400
N 0.2525 0.7397 0.7397
N 0.2541 0.2541 0.8040
N 0.2541 0.8040 0.2541
N 0.7397 0.2525 0.7397
N 0.7397 0.7397 0.2525
N 0.7627 0.7627 0.7627
N 0.8040 0.2541 0.2541

Principal peaks in the range 10 to 90 degrees two-theta, by angle:
d/Å, 2θ/deg, I/Imax
5.342, 16.59, 318
3.234, 27.58, 717
2.767, 32.36, 401
2.722, 32.91, 683
2.700, 33.18, 1000
2.592, 34.60, 347
1.840, 49.55, 280
1.757, 52.06, 301
1.739, 52.62, 220
1.728, 52.99, 188
1.617, 56.95, 359
1.582, 58.34, 344


Diffraction record for SmDyNbN3. The XRD peak list is calculated, not measured: it uses a cell relaxed with GGA-PBE and Cu Kα X-rays.
Neutral-atom scattering factors, no anomalous dispersion.

Cell lengths 6.5218, 3.3355, 9.4495 Å; angles 90.00, 94.82, 90.00 degrees
Atoms (fractional coordinates):
Sm 0.2055 0.2500 0.2458
Sm 0.7945 0.7500 0.7542
Dy 0.3299 0.7500 0.8897
Dy 0.6701 0.2500 0.1103
Nb 0.1366 0.2500 0.5814
Nb 0.8634 0.7500 0.4186
N 0.0993 0.2500 0.7940
N 0.2008 0.7500 0.4598
N 0.4058 0.7500 0.1298
N 0.5942 0.2500 0.8702
N 0.7992 0.2500 0.5402
N 0.9007 0.7500 0.2060

Principal peaks in the range 10 to 90 degrees two-theta, by angle:
d/Å, 2θ/deg, I/Imax
5.572, 15.91, 471
5.150, 17.22, 740
3.249, 27.45, 612
3.145, 28.38, 702
2.924, 30.57, 743
2.800, 31.97, 631
2.786, 32.13, 627
2.738, 32.71, 901
2.722, 32.91, 792
2.327, 38.69, 1000
2.292, 39.31, 447
1.623, 56.72, 435


Diffraction record for NdDyN. The XRD peak list is calculated, not measured: it uses a cell relaxed with GGA-PBE and Cu Kα X-rays.
Neutral-atom scattering factors, no anomalous dispersion.

Cell lengths 3.4850, 3.4850, 5.1779 Å; angles 90.00, 90.00, 90.00 degrees
Atoms (fractional coordinates):
Nd 0.0000 0.0000 0.0000
Dy 0.5000 0.5000 0.5000
N 0.0000 0.0000 0.5000

Principal peaks in the range 10 to 90 degrees two-theta, by angle:
d/Å, 2θ/deg, I/Imax
2.891, 30.93, 1000
2.589, 34.65, 222
2.464, 36.46, 386
1.785, 51.18, 291
1.743, 52.52, 134
1.547, 59.79, 158
1.492, 62.20, 281
1.446, 64.46, 144
1.157, 83.59, 125
1.146, 84.55, 68
1.113, 87.72, 63
1.102, 88.78, 62


Diffraction record for Nd2DyPaN4. The XRD peak list is calculated, not measured: it uses a cell relaxed with GGA-PBE and Cu Kα X-rays.
Neutral-atom scattering factors, no anomalous dispersion.

Cell lengths 6.1124, 3.5698, 6.2069 Å; angles 90.00, 109.06, 90.00 degrees
Atoms (fractional coordinates):
Nd 0.0000 0.0000 0.0000
Nd 0.5000 0.5000 0.0000
Dy 0.0000 0.5000 0.5000
Pa 0.5000 0.0000 0.5000
N 0.2559 0.0000 0.7234
N 0.2689 0.5000 0.2806
N 0.7311 0.5000 0.7194
N 0.7441 0.0000 0.2766

Principal peaks in the range 10 to 90 degrees two-theta, by angle:
d/Å, 2θ/deg, I/Imax
2.933, 30.47, 516
2.908, 30.74, 1000
2.889, 30.96, 492
2.526, 35.54, 943
2.508, 35.80, 461
1.789, 51.05, 492
1.785, 51.18, 165
1.770, 51.66, 321
1.529, 60.55, 159
1.525, 60.75, 236
1.517, 61.07, 304
1.454, 64.03, 166


Diffraction record for PmNdDyN3. The XRD peak list is calculated, not measured: it uses a cell relaxed with GGA-PBE and Cu Kα X-rays.
Neutral-atom scattering factors, no anomalous dispersion.

Cell lengths 6.1362, 3.5523, 9.2277 Å; angles 90.00, 101.63, 90.00 degrees
Atoms (fractional coordinates):
Pm 0.2307 0.2500 0.4532
Pm 0.7693 0.7500 0.5468
Nd 0.3468 0.7500 0.8047
Nd 0.6532 0.2500 0.1953
Dy 0.1499 0.7500 0.1379
Dy 0.8501 0.2500 0.8621
N 0.0373 0.2500 0.6587
N 0.2453 0.2500 0.0087
N 0.4611 0.7500 0.3250
N 0.5389 0.2500 0.6750
N 0.7547 0.7500 0.9913
N 0.9627 0.7500 0.3413

Principal peaks in the range 10 to 90 degrees two-theta, by angle:
d/Å, 2θ/deg, I/Imax
3.041, 29.37, 367
3.010, 29.68, 584
2.941, 30.39, 179
2.811, 31.84, 1000
2.663, 33.66, 901
2.499, 35.94, 161
2.298, 39.21, 202
1.776, 51.45, 198
1.734, 52.80, 306
1.540, 60.09, 165
1.535, 60.31, 170
1.530, 60.53, 165


Diffraction record for Nd2DyPuN4. The XRD peak list is calculated, not measured: it uses a cell relaxed with GGA-PBE and Cu Kα X-rays.
Neutral-atom scattering factors, no anomalous dispersion.

Cell lengths 6.1255, 3.5583, 6.1599 Å; angles 90.00, 109.21, 90.00 degrees
Atoms (fractional coordinates):
Nd 0.0000 0.0000 0.0000
Nd 0.5000 0.5000 0.0000
Dy 0.0000 0.5000 0.5000
Pu 0.5000 0.0000 0.5000
N 0.2513 0.0000 0.7314
N 0.2634 0.5000 0.2730
N 0.7366 0.5000 0.7270
N 0.7487 0.0000 0.2686

Principal peaks in the range 10 to 90 degrees two-theta, by angle:
d/Å, 2θ/deg, I/Imax
2.903, 30.80, 1000
2.892, 30.92, 330
2.516, 35.69, 623
2.504, 35.87, 307
1.779, 51.37, 434
1.771, 51.61, 215
1.518, 61.03, 205
1.515, 61.19, 253
1.511, 61.35, 101
1.450, 64.22, 110
1.125, 86.47, 148
1.122, 86.76, 98